[1]
Theoretical X-ray powder pattern
Compound: Ce2AgC
Radiation: Cu Kα (λ = 1.5418 Å)
Structure: a structure optimized by DFT (PBE)
No peak broadening, texture or thermal motion is included.

```
data_Ce2AgC
_chemical_formula_sum 'Ce8 Ag4 C4'
_space_group_name_H-M_alt 'I m a 2'
_space_group_IT_number 46
_cell_length_a 4.983
_cell_length_b 10.116
_cell_length_c 7.461
_cell_angle_alpha 90.00
_cell_angle_beta 90.00
_cell_angle_gamma 90.00
loop_
_space_group_symop_operation_xyz
'x,y,z'
'-x,-y,z'
'-x+1/2,y,z'
'x+1/2,-y,z'
'x+1/2,y+1/2,z+1/2'
'-x+1/2,-y+1/2,z+1/2'
'-x,y+1/2,z+1/2'
'x,-y+1/2,z+1/2'
loop_
_atom_site_label
_atom_site_type_symbol
_atom_site_fract_x
_atom_site_fract_y
_atom_site_fract_z
Ce1 Ce 0.250 0.109 0.000
Ce2 Ce 0.250 0.687 0.854
Ag1 Ag 0.250 0.077 0.587
C1 C 0.250 0.623 0.554
```

Top 10 peaks for 10 to 80 degrees two-theta, by angle:
(0 0 2), 23.85°, rel. 29
(1 2 1), 27.83°, rel. 81
(0 2 2), 29.76°, rel. 36
(1 1 2), 31.23°, rel. 100
(1 3 0), 32.05°, rel. 78
(2 0 0), 36.05°, rel. 58
(0 1 3), 37.23°, rel. 22
(1 3 2), 40.34°, rel. 27
(2 2 2), 47.42°, rel. 19
(0 6 2), 60.22°, rel. 23



[2]
Theoretical X-ray powder pattern
Compound: CuTeO4
Radiation: Cu Kα (λ = 1.5418 Å)
Structure: a structure optimized by DFT (PBE)
No peak broadening, texture or thermal motion is included.

```
data_CuTeO4
_chemical_formula_sum 'Cu2 Te2 O8'
_space_group_name_H-M_alt 'C m m m'
_space_group_IT_number 65
_space_group_name_Hall '-C 2 2'
_cell_length_a 6.318
_cell_length_b 8.002
_cell_length_c 3.032
_cell_angle_alpha 90.00
_cell_angle_beta 90.00
_cell_angle_gamma 90.00
loop_
_atom_site_label
_atom_site_type_symbol
_atom_site_fract_x
_atom_site_fract_y
_atom_site_fract_z
Cu1 Cu 0.000 0.000 0.000
Te1 Te 0.000 0.500 0.500
O1 O 0.000 0.336 0.000
O2 O 0.191 0.000 0.500
```

Top 10 peaks for 10 to 80 degrees two-theta, by angle:
(1 1 0), 17.89°, rel. 27
(0 2 0), 22.22°, rel. 100
(2 0 0), 28.25°, rel. 50
(1 1 1), 34.68°, rel. 76
(2 2 0), 36.23°, rel. 29
(0 2 1), 37.21°, rel. 12
(0 4 0), 45.33°, rel. 14
(1 3 1), 47.63°, rel. 51
(3 1 1), 54.26°, rel. 41
(3 3 1), 64.18°, rel. 28



[3]
Theoretical X-ray powder pattern
Compound: Ta4NbO12
Radiation: Cu Kα (λ = 1.5418 Å)
Structure: a structure optimized by DFT (PBE)
No peak broadening, texture or thermal motion is included.

```
data_Ta4NbO12
_chemical_formula_sum 'Ta8 Nb2 O24'
_space_group_name_H-M_alt 'I 4/m m m'
_space_group_IT_number 139
_space_group_name_Hall '-I 4 2'
_cell_length_a 7.770
_cell_length_b 7.770
_cell_length_c 7.418
_cell_angle_alpha 90.00
_cell_angle_beta 90.00
_cell_angle_gamma 90.00
loop_
_atom_site_label
_atom_site_type_symbol
_atom_site_fract_x
_atom_site_fract_y
_atom_site_fract_z
Ta1 Ta 0.250 0.250 0.250
Nb1 Nb 0.000 0.000 0.000
O1 O 0.000 0.235 0.178
O2 O 0.196 0.196 0.500
```

Top 10 peaks for 10 to 80 degrees two-theta, by angle:
(2 0 0), 22.89°, rel. 100
(0 0 2), 23.99°, rel. 40
(2 2 0), 32.60°, rel. 47
(2 0 2), 33.40°, rel. 98
(2 2 2), 40.88°, rel. 25
(4 0 0), 46.77°, rel. 30
(4 2 0), 52.69°, rel. 19
(4 0 2), 53.23°, rel. 21
(4 2 2), 58.68°, rel. 44
(2 2 4), 60.21°, rel. 24